Structure and calculated powder diffraction line list of Tl5VO4F2 (a cell relaxed with GGA+U; Cu Kα X-rays).
Neutral-atom scattering factors, no anomalous dispersion.

Peak list (10 most intense, 10 to 80 degrees two-theta, low angle first)
3.364 Å, I = 63, hkl 0 0 2; 3.199 Å, I = 83, hkl 2 1 1; 3.072 Å, I = 47, hkl 2 2 0; 2.974 Å, I = 100, hkl 0 3 1; 2.367 Å, I = 34, hkl 2 3 1; 2.269 Å, I = 55, hkl 2 2 2; 1.909 Å, I = 22, hkl 2 1 3; 1.858 Å, I = 25, hkl 0 3 3; 1.714 Å, I = 28, hkl 2 5 1; 1.633 Å, I = 31, hkl 4 3 1

Cell and atoms:
```
data_Tl5VO4F2
_chemical_formula_sum 'Tl10 V2 O8 F4'
_symmetry_space_group_name_H-M 'A m m 2'
_symmetry_Int_Tables_number 38
_cell_length_a 7.814
_cell_length_b 9.947
_cell_length_c 6.728
_cell_angle_alpha 90.00
_cell_angle_beta 90.00
_cell_angle_gamma 90.00
loop_
_symmetry_equiv_pos_as_xyz
'x,y,z'
'-x,-y,z'
'-x,y,z'
'x,-y,z'
'x,y+1/2,z+1/2'
'-x,-y+1/2,z+1/2'
'-x,y+1/2,z+1/2'
'x,-y+1/2,z+1/2'
loop_
_atom_site_label
_atom_site_type_symbol
_atom_site_fract_x
_atom_site_fract_y
_atom_site_fract_z
_atom_site_occupancy
Tl1 Tl 0.000 0.000 0.000 1
Tl2 Tl 0.264 0.178 0.475 1
V1 V 0.500 0.000 0.011 1
O1 O 0.318 0.000 0.162 1
O2 O 0.500 0.146 0.863 1
F1 F 0.000 0.212 0.237 1
```